The following is a computed powder diffractogram of Li2CrO4. It was derived from a structure optimized by DFT (PBE+U), using Cu Kα.
Kinematic intensities with the Lorentz-polarization factor, no thermal factor.

Main lines, in order of rising 2θ (2θ from 5° to 70°):
2θ/deg  I (rel.)
21.25  87
21.52  100
24.04  29
26.09  16
27.41  17
31.18  19
33.92  20
34.61  21
35.77  19
62.77  12

Crystal structure
Unit cell a=6.831 b=5.286 c=5.184 alpha=90.00 beta=90.00 gamma=90.00
Positions (direct):
1 Li 0.249 0.178 0.000
2 Li 0.251 0.822 0.500
3 Li 0.749 0.822 0.500
4 Li 0.751 0.178 0.000
5 Cr 0.000 0.687 0.006
6 Cr 0.500 0.313 0.506
7 O 0.000 0.377 0.947
8 O 0.000 0.739 0.323
9 O 0.198 0.822 0.879
10 O 0.302 0.178 0.379
11 O 0.500 0.261 0.823
12 O 0.500 0.623 0.447
13 O 0.698 0.178 0.379
14 O 0.802 0.822 0.879